Diffraction record for Co2O. The X-ray powder pattern is computed, not measured: it uses DFT lattice parameters and positions (PBE+U) and Cu Kα (λ = 1.5418 Å).
Neutral-atom scattering factors, no anomalous dispersion.

Crystal structure
Lattice parameters (Å, degrees): 2.8954 2.8954 14.8165 90.00 90.00 120.00
Space group R3m (No. 160, hexagonal axes)
Unique sites:
1 Co 0.0000 0.0000 0.0000 (multiplicity 3)
2 Co 0.0000 0.0000 0.4689 (multiplicity 3)
3 O 0.0000 0.0000 0.8728 (multiplicity 3)

The 6 most intense peaks (10 to 90 degrees two-theta), by angle:
- 2θ = 36.4°, I = 23.3, hkl 0 0 6
- 2θ = 37.9°, I = 100.0, hkl 0 1 2
- 2θ = 43.6°, I = 41.9, hkl 1 0 4
- 2θ = 47.5°, I = 13.6, hkl 0 1 5
- 2θ = 56.9°, I = 15.2, hkl 1 0 7
- 2θ = 64.3°, I = 22.5, hkl 1 1 0